# 1
Starting from DFT lattice parameters and positions (GGA-PBE), the XRD peak list of Na2Er2OsO6 was computed for copper Kα.

Principal peaks in the range 2θ = 10–90°, in order of falling intensity:
Position (°2θ)	I_rel
15.59	100
37.56	38
31.80	29
33.53	26
39.19	18
31.48	17
32.37	15
32.80	15
48.56	13
41.96	12

Structural model:
```
data_Na2Er2OsO6
_chemical_formula_sum 'Na4 Er4 Os2 O12'
_symmetry_space_group_name_H-M 'C 1 2/m 1'
_symmetry_Int_Tables_number 12
_cell_length_a 5.6660
_cell_length_b 9.8523
_cell_length_c 5.8968
_cell_angle_alpha 90.00
_cell_angle_beta 105.47
_cell_angle_gamma 90.00
loop_
_symmetry_equiv_pos_as_xyz
'x,y,z'
'-x,-y,-z'
'-x,y,-z'
'x,-y,z'
'x+1/2,y+1/2,z'
'-x+1/2,-y+1/2,-z'
'-x+1/2,y+1/2,-z'
'x+1/2,-y+1/2,z'
loop_
_atom_site_label
_atom_site_fract_x
_atom_site_fract_y
_atom_site_fract_z
Na1 0.0000 0.1489 0.0000
Er1 0.0000 0.3383 0.5000
Os1 0.0000 0.0000 0.5000
O1 0.2011 0.1582 0.6917
O2 0.2494 0.5000 0.7049
```



# 2
Starting from DFT lattice parameters and positions (GGA-PBE), the XRD peak list of NaZn12Ag4 was computed for copper Kα.

Principal peaks in the range 2θ = 10–90°, in order of falling intensity:
Position (°2θ)	I_rel
31.67	100
45.40	74
50.02	44
52.21	42
28.26	36
19.88	28
37.68	25
34.79	16
73.44	15
66.16	14

Structural model:
```
data_NaZn12Ag4
_chemical_formula_sum 'Na2 Zn24 Ag8'
_symmetry_space_group_name_H-M 'I m -3'
_symmetry_Int_Tables_number 204
_symmetry_space_group_name_Hall '-I 2 2 3'
_cell_length_a 8.9332
_cell_length_b 8.9332
_cell_length_c 8.9332
_cell_angle_alpha 90.00
_cell_angle_beta 90.00
_cell_angle_gamma 90.00
loop_
_atom_site_label
_atom_site_fract_x
_atom_site_fract_y
_atom_site_fract_z
Na1 0.0000 0.0000 0.0000
Zn1 0.0000 0.3565 0.1464
Ag1 0.2500 0.2500 0.2500
```



# 3
Starting from DFT lattice parameters and positions (GGA-PBE), the XRD peak list of Ac2DyBe2O6 was computed for copper Kα.

Principal peaks in the range 2θ = 10–90°, in order of falling intensity:
Position (°2θ)	I_rel
21.36	100
27.29	55
33.22	35
35.15	28
39.84	26
52.47	21
52.81	21
43.51	15
55.82	15
19.41	13

Structural model:
```
data_Ac2DyBe2O6
_chemical_formula_sum 'Ac2 Dy1 Be2 O6'
_symmetry_space_group_name_H-M 'P -3'
_symmetry_Int_Tables_number 147
_cell_length_a 5.3935
_cell_length_b 5.3935
_cell_length_c 9.1458
_cell_angle_alpha 90.00
_cell_angle_beta 90.00
_cell_angle_gamma 120.00
loop_
_symmetry_equiv_pos_as_xyz
'x,y,z'
'-x,-y,-z'
'-y,x-y,z'
'y,-x+y,-z'
'-x+y,-x,z'
'x-y,x,-z'
loop_
_atom_site_label
_atom_site_fract_x
_atom_site_fract_y
_atom_site_fract_z
Ac1 0.3333 0.6667 0.2349
Dy1 0.0000 0.0000 0.5000
Be1 0.3333 0.6667 0.6494
O1 0.0674 0.7051 0.6541
```



# 4
Starting from DFT lattice parameters and positions (GGA-PBE), the XRD peak list of MgCoHg was computed for copper Kα.

Principal peaks in the range 2θ = 10–90°, in order of falling intensity:
Position (°2θ)	I_rel
39.23	100
29.83	66
17.53	56
40.69	47
73.07	32
44.62	23
70.11	16
58.90	16
53.92	15
67.41	14

Structural model:
```
data_MgCoHg
_chemical_formula_sum 'Mg2 Co2 Hg2'
_symmetry_space_group_name_H-M 'I 4 m m'
_symmetry_Int_Tables_number 107
_symmetry_space_group_name_Hall 'I 4 -2'
_cell_length_a 3.1360
_cell_length_b 3.1360
_cell_length_c 10.1177
_cell_angle_alpha 90.00
_cell_angle_beta 90.00
_cell_angle_gamma 90.00
loop_
_atom_site_label
_atom_site_fract_x
_atom_site_fract_y
_atom_site_fract_z
Mg1 0.0000 0.0000 0.0000
Co1 0.0000 0.0000 0.3573
Hg1 0.0000 0.0000 0.6998
```